This entry pairs a crystal structure of Na4TeO4 with its simulated PXRD pattern. Radiation: λ = 1.5418 Å (Cu Kα). Structure: a structure optimized by DFT (GGA-PBE).

Largest 12 diffraction maxima, low angle first, 10 to 90 degrees two-theta:
| 2theta | Rel. int. |
| --- | --- |
| 17.63 | 1000 |
| 18.10 | 383 |
| 21.44 | 361 |
| 28.19 | 126 |
| 30.50 | 236 |
| 31.34 | 434 |
| 35.45 | 226 |
| 35.69 | 182 |
| 43.68 | 242 |
| 44.30 | 392 |
| 48.41 | 248 |
| 54.73 | 114 |

Structural model:
a b c (Å): 6.4194 6.4194 6.4194
angles (deg): 125.67 125.67 80.43
Element x y z (fractional)
Na 0.0000 0.5000 0.5000
Na 0.1914 0.1914 0.0000
Na 0.5000 0.0000 0.5000
Na 0.8086 0.8086 0.0000
Te 0.5000 0.5000 0.0000
O 0.1809 0.6036 0.0000
O 0.3964 0.3964 0.5774
O 0.6036 0.1809 0.0000
O 0.8191 0.8191 0.4226

***

This entry pairs a crystal structure of Na4TeO5 with its simulated PXRD pattern. Radiation: λ = 1.5418 Å (Cu Kα). Structure: a structure optimized by DFT (GGA-PBE).

Largest 12 diffraction maxima, low angle first, 10 to 90 degrees two-theta:
| 2theta | Rel. int. |
| --- | --- |
| 16.40 | 1000 |
| 17.04 | 346 |
| 19.72 | 276 |
| 21.95 | 174 |
| 22.74 | 192 |
| 32.42 | 182 |
| 33.11 | 166 |
| 33.54 | 167 |
| 33.64 | 164 |
| 37.80 | 436 |
| 38.45 | 429 |
| 39.25 | 399 |

Structural model:
a b c (Å): 5.7731 5.8103 8.6295
angles (deg): 108.68 101.55 102.54
Element x y z (fractional)
Na 0.0000 0.0000 0.0000
Na 0.0860 0.2037 0.6981
Na 0.2031 0.3965 0.4007
Na 0.2896 0.5853 0.0999
Na 0.5000 0.0000 0.5000
Na 0.7104 0.4147 0.9001
Na 0.7969 0.6035 0.5993
Na 0.9140 0.7963 0.3019
Te 0.3958 0.8042 0.7971
Te 0.6042 0.1958 0.2029
O 0.1058 0.6319 0.8458
O 0.1887 0.8257 0.5992
O 0.3064 0.0164 0.2397
O 0.3852 0.1541 0.9616
O 0.4450 0.4809 0.6876
O 0.5550 0.5191 0.3124
O 0.6148 0.8459 0.0384
O 0.6936 0.9836 0.7603
O 0.8113 0.1743 0.4008
O 0.8942 0.3681 0.1542

***

This entry pairs a crystal structure of Na2TeO4 with its simulated PXRD pattern. Radiation: λ = 1.5418 Å (Cu Kα). Structure: a structure optimized by DFT (GGA-PBE).

Largest 12 diffraction maxima, low angle first, 10 to 90 degrees two-theta:
| 2theta | Rel. int. |
| --- | --- |
| 14.34 | 162 |
| 16.80 | 1000 |
| 22.12 | 207 |
| 23.81 | 169 |
| 31.51 | 663 |
| 33.60 | 148 |
| 33.87 | 132 |
| 38.06 | 203 |
| 46.11 | 283 |
| 46.32 | 179 |
| 55.02 | 165 |
| 59.13 | 129 |

Structural model:
a b c (Å): 5.8361 12.3498 5.2928
angles (deg): 90.00 90.00 90.00
Element x y z (fractional)
Na 0.0000 0.1391 0.2500
Na 0.0000 0.2746 0.7500
Na 0.0000 0.7254 0.2500
Na 0.0000 0.8609 0.7500
Na 0.5000 0.2254 0.2500
Na 0.5000 0.3609 0.7500
Na 0.5000 0.6391 0.2500
Na 0.5000 0.7746 0.7500
Te 0.0000 0.4283 0.2500
Te 0.0000 0.5717 0.7500
Te 0.5000 0.0717 0.7500
Te 0.5000 0.9283 0.2500
O 0.1794 0.4496 0.5710
O 0.1794 0.5504 0.0710
O 0.2019 0.3259 0.1126
O 0.2019 0.6741 0.6126
O 0.2981 0.1741 0.6126
O 0.2981 0.8259 0.1126
O 0.3206 0.0504 0.0710
O 0.3206 0.9496 0.5710
O 0.6794 0.0504 0.4290
O 0.6794 0.9496 0.9290
O 0.7019 0.1741 0.8874
O 0.7019 0.8259 0.3874
O 0.7981 0.3259 0.3874
O 0.7981 0.6741 0.8874
O 0.8206 0.4496 0.9290
O 0.8206 0.5504 0.4290

***

This entry pairs a crystal structure of Na3TeO3 with its simulated PXRD pattern. Radiation: λ = 1.5418 Å (Cu Kα). Structure: a structure optimized by DFT (GGA-PBE).

Largest 12 diffraction maxima, low angle first, 10 to 90 degrees two-theta:
| 2theta | Rel. int. |
| --- | --- |
| 13.01 | 305 |
| 22.63 | 308 |
| 22.89 | 1000 |
| 26.18 | 482 |
| 32.41 | 592 |
| 38.05 | 232 |
| 39.89 | 320 |
| 46.20 | 361 |
| 46.77 | 181 |
| 52.17 | 182 |
| 61.34 | 285 |
| 62.65 | 141 |

Structural model:
a b c (Å): 7.8599 7.8599 4.7303
angles (deg): 90.00 90.00 120.01
Element x y z (fractional)
Na 0.1608 0.8392 0.7500
Na 0.1616 0.3223 0.7500
Na 0.3223 0.1616 0.2500
Na 0.6777 0.8384 0.7500
Na 0.8384 0.6777 0.2500
Na 0.8392 0.1608 0.2500
Te 0.3331 0.6669 0.2500
Te 0.6669 0.3331 0.7500
O 0.1837 0.8163 0.2500
O 0.1846 0.3684 0.2500
O 0.3684 0.1846 0.7500
O 0.6316 0.8154 0.2500
O 0.8154 0.6316 0.7500
O 0.8163 0.1837 0.7500

***

This entry pairs a crystal structure of Na2TeO4 with its simulated PXRD pattern. Radiation: λ = 1.5418 Å (Cu Kα). Structure: a structure optimized by DFT (GGA-PBE).

Largest 12 diffraction maxima, low angle first, 10 to 90 degrees two-theta:
| 2theta | Rel. int. |
| --- | --- |
| 13.68 | 624 |
| 16.94 | 1000 |
| 17.06 | 958 |
| 21.80 | 508 |
| 24.06 | 249 |
| 30.98 | 725 |
| 31.19 | 747 |
| 32.50 | 273 |
| 38.40 | 417 |
| 45.61 | 249 |
| 46.03 | 254 |
| 47.08 | 282 |

Structural model:
a b c (Å): 10.7734 5.2490 14.0910
angles (deg): 90.00 103.65 90.00
Element x y z (fractional)
Na 0.0425 0.1007 0.1876
Na 0.0425 0.3993 0.6876
Na 0.1292 0.7439 0.5337
Na 0.1292 0.7561 0.0337
Na 0.3549 0.2381 0.1962
Na 0.3549 0.2619 0.6962
Na 0.4328 0.7494 0.0995
Na 0.4328 0.7506 0.5995
Na 0.5672 0.2494 0.4005
Na 0.5672 0.2506 0.9005
Na 0.6451 0.7381 0.3038
Na 0.6451 0.7619 0.8038
Na 0.8708 0.2439 0.9663
Na 0.8708 0.2561 0.4663
Na 0.9575 0.6007 0.3124
Na 0.9575 0.8993 0.8124
Te 0.2232 0.2229 0.4223
Te 0.2232 0.2771 0.9223
Te 0.2911 0.7234 0.3165
Te 0.2911 0.7766 0.8165
Te 0.7089 0.2234 0.1835
Te 0.7089 0.2766 0.6835
Te 0.7768 0.7229 0.0777
Te 0.7768 0.7771 0.5777
O 0.0688 0.1505 0.9415
O 0.0688 0.3495 0.4415
O 0.1385 0.5977 0.8556
O 0.1385 0.9023 0.3556
O 0.1838 0.0955 0.7868
O 0.1838 0.4045 0.2868
O 0.2351 0.6381 0.6908
O 0.2351 0.8619 0.1908
O 0.2798 0.0822 0.5463
O 0.2798 0.4178 0.0463
O 0.3227 0.5467 0.4514
O 0.3227 0.9533 0.9514
O 0.3700 0.0469 0.3779
O 0.3700 0.4531 0.8779
O 0.4422 0.5831 0.2963
O 0.4422 0.9169 0.7963
O 0.5578 0.0831 0.2037
O 0.5578 0.4169 0.7037
O 0.6300 0.5469 0.1221
O 0.6300 0.9531 0.6221
O 0.6773 0.0467 0.0486
O 0.6773 0.4533 0.5486
O 0.7202 0.5822 0.9537
O 0.7202 0.9178 0.4537
O 0.7649 0.1381 0.8092
O 0.7649 0.3619 0.3092
O 0.8162 0.5955 0.7132
O 0.8162 0.9045 0.2132
O 0.8615 0.0977 0.6444
O 0.8615 0.4023 0.1444
O 0.9312 0.6505 0.5585
O 0.9312 0.8495 0.0585

***

This entry pairs a crystal structure of Na2TeO4 with its simulated PXRD pattern. Radiation: λ = 1.5418 Å (Cu Kα). Structure: a structure optimized by DFT (GGA-PBE).

Largest 12 diffraction maxima, low angle first, 10 to 90 degrees two-theta:
| 2theta | Rel. int. |
| --- | --- |
| 13.05 | 747 |
| 16.55 | 1000 |
| 21.13 | 844 |
| 24.24 | 251 |
| 31.22 | 652 |
| 33.47 | 735 |
| 36.07 | 222 |
| 37.51 | 389 |
| 43.48 | 223 |
| 49.58 | 292 |
| 57.03 | 398 |
| 65.12 | 267 |

Structural model:
a b c (Å): 6.7819 6.7819 8.7356
angles (deg): 90.00 90.00 90.00
Element x y z (fractional)
Na 0.0000 0.2582 0.0000
Na 0.0000 0.7418 0.5000
Na 0.2350 0.2350 0.3750
Na 0.2350 0.7650 0.1250
Na 0.2582 0.0000 0.7500
Na 0.7418 0.0000 0.2500
Na 0.7650 0.2350 0.6250
Na 0.7650 0.7650 0.8750
Te 0.2587 0.5000 0.7500
Te 0.5000 0.2587 0.0000
Te 0.5000 0.7413 0.5000
Te 0.7413 0.5000 0.2500
O 0.0773 0.2928 0.7290
O 0.0773 0.7072 0.7710
O 0.2928 0.0773 0.0210
O 0.2928 0.9227 0.4790
O 0.2962 0.4820 0.9781
O 0.2962 0.5180 0.5219
O 0.4820 0.2962 0.7719
O 0.4820 0.7038 0.7281
O 0.5180 0.2962 0.2281
O 0.5180 0.7038 0.2719
O 0.7038 0.4820 0.0219
O 0.7038 0.5180 0.4781
O 0.7072 0.0773 0.9790
O 0.7072 0.9227 0.5210
O 0.9227 0.2928 0.2710
O 0.9227 0.7072 0.2290

***

This entry pairs a crystal structure of Na5TeO5 with its simulated PXRD pattern. Radiation: λ = 1.5418 Å (Cu Kα). Structure: a structure optimized by DFT (GGA-PBE).

Largest 12 diffraction maxima, low angle first, 10 to 90 degrees two-theta:
| 2theta | Rel. int. |
| --- | --- |
| 14.34 | 1000 |
| 17.42 | 240 |
| 18.65 | 404 |
| 20.38 | 947 |
| 23.29 | 247 |
| 32.26 | 410 |
| 33.14 | 382 |
| 37.32 | 584 |
| 37.82 | 440 |
| 38.69 | 452 |
| 54.17 | 260 |
| 54.83 | 275 |

Structural model:
a b c (Å): 5.8952 5.8952 6.5312
angles (deg): 107.20 107.20 48.27
Element x y z (fractional)
Na 0.0000 0.0000 0.0000
Na 0.3001 0.3103 0.1777
Na 0.3186 0.3291 0.6433
Na 0.6709 0.6814 0.3567
Na 0.6897 0.6999 0.8223
Te 0.9727 0.0273 0.5000
O 0.1344 0.1379 0.3422
O 0.1467 0.1504 0.7978
O 0.5730 0.4270 0.5000
O 0.8496 0.8533 0.2022
O 0.8621 0.8656 0.6578

***

This entry pairs a crystal structure of NaThTeO5 with its simulated PXRD pattern. Radiation: λ = 1.5418 Å (Cu Kα). Structure: a structure optimized by DFT (GGA-PBE).

Largest 12 diffraction maxima, low angle first, 10 to 90 degrees two-theta:
| 2theta | Rel. int. |
| --- | --- |
| 15.01 | 541 |
| 15.19 | 193 |
| 18.76 | 212 |
| 22.79 | 1000 |
| 23.55 | 733 |
| 30.43 | 277 |
| 30.71 | 865 |
| 32.79 | 263 |
| 33.22 | 278 |
| 42.19 | 187 |
| 46.13 | 248 |
| 52.93 | 236 |

Structural model:
a b c (Å): 6.4034 6.4034 8.5678
angles (deg): 109.04 109.04 95.23
Element x y z (fractional)
Na 0.1884 0.8116 0.7500
Na 0.8116 0.1884 0.2500
Th 0.5000 0.5000 0.0000
Th 0.5000 0.5000 0.5000
Te 0.1581 0.8419 0.2500
Te 0.8419 0.1581 0.7500
O 0.1617 0.2064 0.8525
O 0.2064 0.1617 0.3525
O 0.2313 0.7316 0.4495
O 0.2684 0.7687 0.0505
O 0.4426 0.5574 0.7500
O 0.5574 0.4426 0.2500
O 0.7316 0.2313 0.9495
O 0.7687 0.2684 0.5505
O 0.7936 0.8383 0.6475
O 0.8383 0.7936 0.1475

***

This entry pairs a crystal structure of NaTm3Te4O12 with its simulated PXRD pattern. Radiation: λ = 1.5418 Å (Cu Kα). Structure: a structure optimized by DFT (GGA-PBE).

Largest 12 diffraction maxima, low angle first, 10 to 90 degrees two-theta:
| 2theta | Rel. int. |
| --- | --- |
| 13.35 | 195 |
| 15.40 | 231 |
| 25.69 | 547 |
| 26.88 | 1000 |
| 34.00 | 903 |
| 44.61 | 399 |
| 49.48 | 125 |
| 50.17 | 218 |
| 52.16 | 138 |
| 57.22 | 137 |
| 57.82 | 304 |
| 62.64 | 166 |

Structural model:
a b c (Å): 7.2730 7.2730 7.2730
angles (deg): 104.54 104.54 104.54
Element x y z (fractional)
Na 0.0000 0.0000 0.0000
Tm 0.0000 0.5735 0.4265
Tm 0.4265 0.0000 0.5735
Tm 0.5735 0.4265 0.0000
Te 0.0921 0.5000 0.9079
Te 0.5000 0.5000 0.5000
Te 0.5000 0.9079 0.0921
Te 0.9079 0.0921 0.5000
O 0.0552 0.2825 0.3850
O 0.0761 0.9239 0.5000
O 0.2825 0.3850 0.0552
O 0.3224 0.6776 0.5000
O 0.3850 0.0552 0.2825
O 0.5000 0.0761 0.9239
O 0.5000 0.3224 0.6776
O 0.6150 0.7175 0.9448
O 0.6776 0.5000 0.3224
O 0.7175 0.9448 0.6150
O 0.9239 0.5000 0.0761
O 0.9448 0.6150 0.7175

***

This entry pairs a crystal structure of NaTmTe2O8 with its simulated PXRD pattern. Radiation: λ = 1.5418 Å (Cu Kα). Structure: a structure optimized by DFT (GGA-PBE).

Largest 12 diffraction maxima, low angle first, 10 to 90 degrees two-theta:
| 2theta | Rel. int. |
| --- | --- |
| 15.62 | 121 |
| 18.67 | 197 |
| 24.05 | 82 |
| 28.81 | 1000 |
| 31.55 | 135 |
| 34.27 | 182 |
| 47.26 | 317 |
| 49.24 | 149 |
| 54.50 | 166 |
| 58.05 | 274 |
| 59.67 | 116 |
| 76.49 | 122 |

Structural model:
a b c (Å): 6.7725 6.7725 6.7725
angles (deg): 134.54 134.54 66.25
Element x y z (fractional)
Na 0.0000 0.0000 0.0000
Tm 0.7500 0.2500 0.5000
Te 0.2500 0.7500 0.5000
Te 0.5000 0.5000 0.0000
O 0.0856 0.6500 0.0712
O 0.1614 0.2465 0.5869
O 0.3500 0.4212 0.4356
O 0.4255 0.8386 0.0851
O 0.5788 0.0144 0.9288
O 0.6596 0.5745 0.4131
O 0.7535 0.3404 0.9149
O 0.9856 0.9144 0.5644

***

This entry pairs a crystal structure of NaUTeO2 with its simulated PXRD pattern. Radiation: λ = 1.5418 Å (Cu Kα). Structure: a structure optimized by DFT (GGA-PBE).

Largest 12 diffraction maxima, low angle first, 10 to 90 degrees two-theta:
| 2theta | Rel. int. |
| --- | --- |
| 13.69 | 514 |
| 24.04 | 365 |
| 31.08 | 1000 |
| 32.79 | 367 |
| 35.68 | 189 |
| 41.90 | 92 |
| 42.03 | 169 |
| 47.05 | 190 |
| 54.19 | 223 |
| 57.46 | 355 |
| 64.85 | 204 |
| 88.48 | 96 |

Structural model:
a b c (Å): 3.8631 3.8631 12.9376
angles (deg): 90.00 90.00 90.00
Element x y z (fractional)
Na 0.0000 0.0000 0.0000
Na 0.5000 0.5000 0.5000
U 0.0000 0.0000 0.6831
U 0.5000 0.5000 0.1831
Te 0.0000 0.0000 0.3345
Te 0.5000 0.5000 0.8345
O 0.0000 0.5000 0.1133
O 0.0000 0.5000 0.6133
O 0.5000 0.0000 0.1133
O 0.5000 0.0000 0.6133